For Na5B7C3, a PBE-relaxed structure gives the simulated XRD peak list in this record (Cu Kα X-rays).
Lines closer than 0.1° are merged.

Crystal structure
Lattice parameters (Å, degrees): 22.9985 2.8402 9.9689 90.00 107.14 90.00
Space group Cm (No. 8)
Unique sites:
Na 0.0000 0.0000 0.0000
Na 0.0004 0.5000 0.4985
Na 0.1000 0.0000 0.6971
Na 0.0998 0.5000 0.1975
Na 0.1979 0.0000 0.3985
Na 0.1989 0.5000 0.8967
Na 0.2987 0.5000 0.5984
Na 0.3004 0.0000 0.0915
Na 0.3985 0.0000 0.8005
Na 0.4005 0.5000 0.2977
B 0.0189 0.0000 0.2861
B 0.0798 0.5000 0.9076
B 0.1156 0.5000 0.4801
B 0.1178 0.0000 0.9839
B 0.1846 0.0000 0.1172
B 0.2124 0.0000 0.6743
B 0.2750 0.5000 0.2987
B 0.3098 0.5000 0.8688
B 0.3163 0.0000 0.3828
B 0.3806 0.0000 0.5107
B 0.3822 0.5000 0.0119
B 0.4213 0.5000 0.5919
B 0.4230 0.0000 0.0936
B 0.4883 0.5000 0.7243
C 0.0182 0.5000 0.7832
C 0.0836 0.0000 0.4159
C 0.1806 0.5000 0.6104
C 0.2153 0.5000 0.1786
C 0.2778 0.0000 0.8056
C 0.4866 0.0000 0.2211

Top 10 peaks for 2θ = 10–90°, by intensity:
2.148 Å, intensity 100, (7 1 -1); 2.197 Å, intensity 50, (10 0 0); 2.138 Å, intensity 38, (8 0 -4); 1.464 Å, intensity 17, (9 1 3); 2.484 Å, intensity 17, (3 1 1); 1.208 Å, intensity 17, (1 1 7); 1.236 Å, intensity 13, (9 1 -7); 2.562 Å, intensity 11, (6 0 2); 1.193 Å, intensity 10, (10 2 0); 1.621 Å, intensity 10, (11 1 -3)